# CoNiAs2
Theoretical PXRD pattern, Cu Kα (weighted mean of Kα1 and Kα2). Input: the PBE geometry in the Materials Project.
Lines closer than 0.1° are merged.

Most intense lines, 2θ from 10° to 90°, in order of falling intensity:
- (1 0 1), 2θ 33.80, rel. 100
- (0 1 2), 2θ 46.47, rel. 93
- (1 1 0), 2θ 50.56, rel. 68
- (2 0 2), 2θ 71.10, rel. 24
- (0 2 1), 2θ 62.21, rel. 17
- (1 0 3), 2θ 63.15, rel. 15

```
4
Lattice="3.6102 0.0000 0.0000 -1.8051 3.1266 0.0000 0.0000 0.0000 5.0071" Properties=species:S:1:pos:R:3 pbc="T T T"
Co 0.0000 0.0000 0.0000
Ni 0.0000 0.0000 2.5035
As 0.0000 2.0844 1.2030
As 1.8051 1.0422 3.8041
```